(1)
This entry pairs a crystal structure of V2Co2Ni with its calculated PXRD pattern. Radiation: Cu Kα, 1.54184 Å. Structure: DFT lattice parameters and positions (PBE).
Lines closer than 0.1° are merged.

Principal peaks in the range 10° ≤ 2θ ≤ 90°, low angle first:
| hkl | 2θ/deg | I (rel.) |
| --- | --- | --- |
| 0 0 1 | 32.46 | 95 |
| 2 2 0 | 38.76 | 135 |
| 2 0 1 | 42.81 | 247 |
| 3 1 0 | 43.56 | 662 |
| 2 1 1 | 45.09 | 1000 |
| 3 2 0 | 50.06 | 84 |
| 3 1 1 | 55.36 | 141 |
| 3 2 1 | 60.94 | 62 |
| 0 0 2 | 67.96 | 193 |
| 5 1 1 | 82.66 | 101 |
| 3 1 2 | 84.29 | 165 |
| 5 2 1 | 87.41 | 138 |

Atomic structure:
```
data_V2Co2Ni
_symmetry_space_group_name_H-M 'P 4/m b m'
_symmetry_Int_Tables_number 127
_symmetry_space_group_name_Hall '-P 4 2ab'
_cell_length_a 6.5703
_cell_length_b 6.5703
_cell_length_c 2.7579
_cell_angle_alpha 90.00
_cell_angle_beta 90.00
_cell_angle_gamma 90.00
loop_
_atom_site_label
_atom_site_type_symbol
_atom_site_fract_x
_atom_site_fract_y
_atom_site_fract_z
_atom_site_occupancy
V1 V 0.1709 0.3291 0.0000 1
Co1 Co 0.1331 0.6331 0.5000 1
Ni1 Ni 0.0000 0.0000 0.5000 1
```


(2)
This entry pairs a crystal structure of VCo3Ni12 with its calculated PXRD pattern. Radiation: Cu Kα, 1.54184 Å. Structure: DFT lattice parameters and positions (PBE).
Lines closer than 0.1° are merged.

Principal peaks in the range 10° ≤ 2θ ≤ 90°, low angle first:
| hkl | 2θ/deg | I (rel.) |
| --- | --- | --- |
| 1 1 4 | 44.46 | 1000 |
| 2 0 0 | 51.80 | 463 |
| 2 2 0 | 76.30 | 265 |

Atomic structure:
```
data_VCo3Ni12
_symmetry_space_group_name_H-M 'P 4/m m m'
_symmetry_Int_Tables_number 123
_symmetry_space_group_name_Hall '-P 4 2'
_cell_length_a 3.5298
_cell_length_b 3.5298
_cell_length_c 14.1189
_cell_angle_alpha 90.00
_cell_angle_beta 90.00
_cell_angle_gamma 90.00
loop_
_atom_site_label
_atom_site_type_symbol
_atom_site_fract_x
_atom_site_fract_y
_atom_site_fract_z
_atom_site_occupancy
V1 V 0.0000 0.0000 0.0000 1
Co1 Co 0.0000 0.0000 0.2536 1
Co2 Co 0.0000 0.0000 0.5000 1
Ni1 Ni 0.0000 0.5000 0.1253 1
Ni2 Ni 0.0000 0.5000 0.3756 1
Ni3 Ni 0.5000 0.5000 0.0000 1
Ni4 Ni 0.5000 0.5000 0.2507 1
Ni5 Ni 0.5000 0.5000 0.5000 1
```


(3)
This entry pairs a crystal structure of V4Co5Ni2 with its calculated PXRD pattern. Radiation: Cu Kα, 1.54184 Å. Structure: DFT lattice parameters and positions (PBE).
Lines closer than 0.1° are merged.

Principal peaks in the range 10° ≤ 2θ ≤ 90°, low angle first:
| hkl | 2θ/deg | I (rel.) |
| --- | --- | --- |
| 0 0 2 | 11.58 | 246 |
| 0 2 0 | 21.08 | 237 |
| 1 1 1 | 22.45 | 554 |
| 0 0 4 | 23.28 | 356 |
| 1 3 3 | 41.44 | 810 |
| 2 2 0 | 44.18 | 497 |
| 2 0 4 | 45.36 | 321 |
| 1 1 7 | 47.16 | 496 |
| 0 0 8 | 47.60 | 297 |
| 0 4 4 | 49.39 | 716 |
| 2 2 4 | 50.52 | 1000 |
| 2 6 0 | 79.52 | 215 |

Atomic structure:
```
data_V4Co5Ni2
_symmetry_space_group_name_H-M 'F m m m'
_symmetry_Int_Tables_number 69
_symmetry_space_group_name_Hall '-F 2 2'
_cell_length_a 4.6926
_cell_length_b 8.4300
_cell_length_c 15.2832
_cell_angle_alpha 90.00
_cell_angle_beta 90.00
_cell_angle_gamma 90.00
loop_
_atom_site_label
_atom_site_type_symbol
_atom_site_fract_x
_atom_site_fract_y
_atom_site_fract_z
_atom_site_occupancy
V1 V 0.0000 0.1550 0.1309 1
Co1 Co 0.0000 0.0000 0.0000 1
Co2 Co 0.2500 0.2500 0.0000 1
Co3 Co 0.2500 0.2500 0.2500 1
Ni1 Ni 0.0000 0.0000 0.2886 1
```


(4)
This entry pairs a crystal structure of V8Co2Ni with its calculated PXRD pattern. Radiation: Cu Kα, 1.54184 Å. Structure: DFT lattice parameters and positions (PBE).
Lines closer than 0.1° are merged.

Principal peaks in the range 10° ≤ 2θ ≤ 90°, low angle first:
| hkl | 2θ/deg | I (rel.) |
| --- | --- | --- |
| 4 0 -1 | 33.40 | 163 |
| 0 2 0 | 37.72 | 80 |
| 4 0 -2 | 40.15 | 371 |
| 2 0 2 | 41.29 | 1000 |
| 5 1 -1 | 45.83 | 285 |
| 2 2 1 | 46.82 | 203 |
| 5 1 0 | 47.43 | 243 |
| 2 0 -3 | 47.65 | 115 |
| 2 2 -2 | 50.37 | 175 |
| 4 2 0 | 51.88 | 104 |
| 3 1 -3 | 52.91 | 171 |
| 2 2 3 | 71.27 | 109 |

Atomic structure:
```
data_V8Co2Ni
_symmetry_space_group_name_H-M 'C 1 2/m 1'
_symmetry_Int_Tables_number 12
_symmetry_space_group_name_Hall '-C 2y'
_cell_length_a 10.9330
_cell_length_b 4.7693
_cell_length_c 5.7374
_cell_angle_alpha 90.00
_cell_angle_beta 106.81
_cell_angle_gamma 90.00
loop_
_atom_site_label
_atom_site_type_symbol
_atom_site_fract_x
_atom_site_fract_y
_atom_site_fract_z
_atom_site_occupancy
V1 V 0.0900 0.0000 0.4252 1
V2 V 0.0962 0.2430 0.9053 1
V3 V 0.1842 0.5000 0.2983 1
Co1 Co 0.2291 0.5000 0.7152 1
Ni1 Ni 0.0000 0.5000 0.5000 1
```


(5)
This entry pairs a crystal structure of Co3Ni3W2 with its calculated PXRD pattern. Radiation: Cu Kα, 1.54184 Å. Structure: DFT lattice parameters and positions (PBE).
Lines closer than 0.1° are merged.

Principal peaks in the range 10° ≤ 2θ ≤ 90°, low angle first:
| hkl | 2θ/deg | I (rel.) |
| --- | --- | --- |
| 1 1 0 | 26.32 | 605 |
| 0 1 2 | 28.94 | 615 |
| 2 0 2 | 39.52 | 902 |
| 2 1 1 | 42.65 | 394 |
| 1 1 3 | 46.13 | 806 |
| 3 0 0 | 46.45 | 1000 |
| 1 2 2 | 48.11 | 976 |
| 1 0 4 | 52.84 | 233 |
| 4 1 0 | 74.08 | 232 |
| 2 3 2 | 75.34 | 295 |
| 1 2 5 | 78.85 | 202 |
| 4 1 3 | 85.93 | 250 |

Atomic structure:
```
data_Co3Ni3W2
_symmetry_space_group_name_H-M 'R 3 2'
_symmetry_Int_Tables_number 155
_symmetry_space_group_name_Hall 'R 3 2"'
_cell_length_a 6.7719
_cell_length_b 6.7719
_cell_length_c 7.2545
_cell_angle_alpha 90.00
_cell_angle_beta 90.00
_cell_angle_gamma 120.00
loop_
_atom_site_label
_atom_site_type_symbol
_atom_site_fract_x
_atom_site_fract_y
_atom_site_fract_z
_atom_site_occupancy
Co1 Co 0.0000 0.2990 0.0000 1
Ni1 Ni 0.0000 0.7530 0.5000 1
W1 W 0.0000 0.0000 0.2173 1
```


(6)
This entry pairs a crystal structure of CoNi2W with its calculated PXRD pattern. Radiation: Cu Kα, 1.54184 Å. Structure: DFT lattice parameters and positions (PBE).
Lines closer than 0.1° are merged.

Principal peaks in the range 10° ≤ 2θ ≤ 90°, low angle first:
| hkl | 2θ/deg | I (rel.) |
| --- | --- | --- |
| 0 0 2 | 24.65 | 110 |
| 1 0 1 | 27.53 | 319 |
| 1 1 0 | 35.00 | 91 |
| 1 1 2 | 43.28 | 1000 |
| 1 0 3 | 45.21 | 88 |
| 2 0 0 | 50.33 | 318 |
| 0 0 4 | 50.55 | 157 |
| 2 1 1 | 58.32 | 86 |
| 2 1 3 | 69.95 | 52 |
| 2 2 0 | 73.94 | 97 |
| 2 0 4 | 74.11 | 192 |
| 3 1 2 | 89.73 | 240 |

Atomic structure:
```
data_CoNi2W
_symmetry_space_group_name_H-M 'I -4 m 2'
_symmetry_Int_Tables_number 119
_symmetry_space_group_name_Hall 'I -4 -2'
_cell_length_a 3.6257
_cell_length_b 3.6257
_cell_length_c 7.2223
_cell_angle_alpha 90.00
_cell_angle_beta 90.00
_cell_angle_gamma 90.00
loop_
_atom_site_label
_atom_site_type_symbol
_atom_site_fract_x
_atom_site_fract_y
_atom_site_fract_z
_atom_site_occupancy
Co1 Co 0.0000 0.0000 0.0000 1
Ni1 Ni 0.0000 0.0000 0.5000 1
Ni2 Ni 0.0000 0.5000 0.7500 1
W1 W 0.0000 0.5000 0.2500 1
```


(7)
This entry pairs a crystal structure of Co3Ni3W with its calculated PXRD pattern. Radiation: Cu Kα, 1.54184 Å. Structure: DFT lattice parameters and positions (PBE).
Lines closer than 0.1° are merged.

Principal peaks in the range 10° ≤ 2θ ≤ 90°, low angle first:
| hkl | 2θ/deg | I (rel.) |
| --- | --- | --- |
| 1 1 1 | 22.23 | 225 |
| 2 0 0 | 25.72 | 186 |
| 2 0 1 | 28.82 | 179 |
| 2 2 0 | 36.69 | 279 |
| 2 2 1 | 39.00 | 311 |
| 3 1 0 | 41.21 | 1000 |
| 3 1 1 | 43.32 | 401 |
| 3 2 0 | 47.31 | 645 |
| 3 1 2 | 49.21 | 669 |
| 3 2 2 | 54.62 | 322 |
| 5 1 0 | 69.14 | 257 |
| 5 2 3 | 86.62 | 167 |

Atomic structure:
```
data_Co3Ni3W
_symmetry_space_group_name_H-M 'P 21 3'
_symmetry_Int_Tables_number 198
_symmetry_space_group_name_Hall 'P 2ac 2ab 3'
_cell_length_a 6.9280
_cell_length_b 6.9280
_cell_length_c 6.9280
_cell_angle_alpha 90.00
_cell_angle_beta 90.00
_cell_angle_gamma 90.00
loop_
_atom_site_label
_atom_site_type_symbol
_atom_site_fract_x
_atom_site_fract_y
_atom_site_fract_z
_atom_site_occupancy
Co1 Co 0.0063 0.1797 0.8980 1
Ni1 Ni 0.1337 0.3663 0.6337 1
Ni2 Ni 0.1570 0.8430 0.3430 1
Ni3 Ni 0.2002 0.2002 0.2002 1
W1 W 0.0545 0.5545 0.9455 1
```


(8)
This entry pairs a crystal structure of CoNi6W2 with its calculated PXRD pattern. Radiation: Cu Kα, 1.54184 Å. Structure: DFT lattice parameters and positions (PBE).
Lines closer than 0.1° are merged.

Principal peaks in the range 10° ≤ 2θ ≤ 90°, low angle first:
| hkl | 2θ/deg | I (rel.) |
| --- | --- | --- |
| 2 0 0 | 17.06 | 212 |
| 1 1 0 | 26.40 | 260 |
| 2 0 1 | 27.30 | 122 |
| 3 1 -2 | 43.08 | 994 |
| 3 1 1 | 43.40 | 1000 |
| 6 0 -1 | 49.73 | 324 |
| 0 0 3 | 50.15 | 314 |
| 0 2 0 | 51.19 | 304 |
| 6 2 -1 | 74.15 | 187 |
| 0 2 3 | 74.48 | 217 |
| 9 1 0 | 89.11 | 243 |
| 3 1 4 | 89.75 | 116 |

Atomic structure:
```
data_CoNi6W2
_symmetry_space_group_name_H-M 'C 1 2/m 1'
_symmetry_Int_Tables_number 12
_symmetry_space_group_name_Hall '-C 2y'
_cell_length_a 11.0002
_cell_length_b 3.5692
_cell_length_c 5.7764
_cell_angle_alpha 90.00
_cell_angle_beta 109.12
_cell_angle_gamma 90.00
loop_
_atom_site_label
_atom_site_type_symbol
_atom_site_fract_x
_atom_site_fract_y
_atom_site_fract_z
_atom_site_occupancy
Co1 Co 0.0000 0.0000 0.0000 1
Ni1 Ni 0.1085 0.0000 0.6673 1
Ni2 Ni 0.1673 0.5000 0.9992 1
Ni3 Ni 0.2228 0.0000 0.3333 1
W1 W 0.0595 0.5000 0.3195 1
```


(9)
This entry pairs a crystal structure of Co6Ni23W with its calculated PXRD pattern. Radiation: Cu Kα, 1.54184 Å. Structure: DFT lattice parameters and positions (PBE).
Lines closer than 0.1° are merged.

Principal peaks in the range 10° ≤ 2θ ≤ 90°, low angle first:
| hkl | 2θ/deg | I (rel.) |
| --- | --- | --- |
| 1 1 1 | 13.80 | 32 |
| 2 0 0 | 15.95 | 44 |
| 3 1 1 | 26.61 | 26 |
| 2 2 2 | 27.81 | 47 |
| 4 2 0 | 36.15 | 106 |
| 5 1 1 | 42.26 | 31 |
| 4 4 0 | 46.22 | 1000 |
| 6 0 0 | 49.20 | 36 |
| 6 2 2 | 54.80 | 23 |
| 8 0 0 | 67.43 | 142 |
| 6 4 4 | 69.79 | 35 |
| 8 4 4 | 85.65 | 274 |

Atomic structure:
```
data_Co6Ni23W
_symmetry_space_group_name_H-M 'F m -3 m'
_symmetry_Int_Tables_number 225
_symmetry_space_group_name_Hall '-F 4 2 3'
_cell_length_a 11.1118
_cell_length_b 11.1118
_cell_length_c 11.1118
_cell_angle_alpha 90.00
_cell_angle_beta 90.00
_cell_angle_gamma 90.00
loop_
_atom_site_label
_atom_site_type_symbol
_atom_site_fract_x
_atom_site_fract_y
_atom_site_fract_z
_atom_site_occupancy
Co1 Co 0.0000 0.0000 0.2445 1
Ni1 Ni 0.0000 0.0000 0.5000 1
Ni2 Ni 0.0000 0.2500 0.2500 1
Ni3 Ni 0.1272 0.1272 0.3728 1
Ni4 Ni 0.1360 0.1360 0.1360 1
W1 W 0.0000 0.0000 0.0000 1
```


(10)
This entry pairs a crystal structure of CoNiW with its calculated PXRD pattern. Radiation: Cu Kα, 1.54184 Å. Structure: DFT lattice parameters and positions (PBE).
Lines closer than 0.1° are merged.

Principal peaks in the range 10° ≤ 2θ ≤ 90°, low angle first:
| hkl | 2θ/deg | I (rel.) |
| --- | --- | --- |
| 0 0 2 | 22.87 | 328 |
| 0 1 1 | 27.31 | 472 |
| 1 0 1 | 35.72 | 239 |
| 1 1 0 | 42.29 | 1000 |
| 0 1 3 | 43.00 | 951 |
| 1 1 2 | 48.61 | 190 |
| 1 0 3 | 49.11 | 642 |
| 0 2 0 | 50.74 | 291 |
| 1 2 3 | 73.29 | 376 |
| 2 1 3 | 86.71 | 245 |
| 1 1 6 | 88.16 | 236 |
| 1 3 0 | 89.68 | 115 |

Atomic structure:
```
data_CoNiW
_symmetry_space_group_name_H-M 'I m m 2'
_symmetry_Int_Tables_number 44
_symmetry_space_group_name_Hall 'I 2 -2'
_cell_length_a 2.6563
_cell_length_b 3.5988
_cell_length_c 7.7758
_cell_angle_alpha 90.00
_cell_angle_beta 90.00
_cell_angle_gamma 90.00
loop_
_atom_site_label
_atom_site_type_symbol
_atom_site_fract_x
_atom_site_fract_y
_atom_site_fract_z
_atom_site_occupancy
Co1 Co 0.0000 0.0000 0.0000 1
Ni1 Ni 0.0000 0.0000 0.6614 1
W1 W 0.0000 0.0000 0.3324 1
```


(11)
This entry pairs a crystal structure of Co2Ni12W with its calculated PXRD pattern. Radiation: Cu Kα, 1.54184 Å. Structure: DFT lattice parameters and positions (PBE).
Lines closer than 0.1° are merged.

Principal peaks in the range 10° ≤ 2θ ≤ 90°, low angle first:
| hkl | 2θ/deg | I (rel.) |
| --- | --- | --- |
| 0 0 3 | 14.64 | 225 |
| 0 1 1 | 22.84 | 266 |
| 1 0 2 | 37.67 | 326 |
| 0 1 7 | 41.56 | 856 |
| 1 1 2 | 44.21 | 281 |
| 0 2 0 | 45.50 | 778 |
| 1 1 3 | 45.67 | 293 |
| 0 1 8 | 46.04 | 1000 |
| 1 1 4 | 47.66 | 804 |
| 1 1 6 | 53.04 | 470 |
| 1 2 4 | 63.31 | 220 |
| 1 0 11 | 68.32 | 224 |

Atomic structure:
```
data_Co2Ni12W
_symmetry_space_group_name_H-M 'P m m m'
_symmetry_Int_Tables_number 47
_symmetry_space_group_name_Hall '-P 2 2'
_cell_length_a 2.4752
_cell_length_b 3.9872
_cell_length_c 18.1465
_cell_angle_alpha 90.00
_cell_angle_beta 90.00
_cell_angle_gamma 90.00
loop_
_atom_site_label
_atom_site_type_symbol
_atom_site_fract_x
_atom_site_fract_y
_atom_site_fract_z
_atom_site_occupancy
Co1 Co 0.0000 0.0000 0.2354 1
Ni1 Ni 0.0000 0.5000 0.0616 1
Ni2 Ni 0.0000 0.5000 0.4201 1
Ni3 Ni 0.5000 0.0000 0.1028 1
Ni4 Ni 0.5000 0.0000 0.3707 1
Ni5 Ni 0.5000 0.5000 0.1760 1
Ni6 Ni 0.5000 0.5000 0.3001 1
W1 W 0.0000 0.0000 0.5000 1
```


(12)
This entry pairs a crystal structure of Y6CoNi with its calculated PXRD pattern. Radiation: Cu Kα, 1.54184 Å. Structure: DFT lattice parameters and positions (PBE).
Lines closer than 0.1° are merged.

Principal peaks in the range 10° ≤ 2θ ≤ 90°, low angle first:
| hkl | 2θ/deg | I (rel.) |
| --- | --- | --- |
| 1 1 2 | 30.85 | 480 |
| 0 2 1 | 31.01 | 382 |
| 3 1 0 | 31.44 | 1000 |
| 2 0 2 | 31.90 | 609 |
| 1 2 1 | 32.43 | 857 |
| 3 1 1 | 34.06 | 546 |
| 2 1 2 | 34.97 | 671 |
| 3 0 2 | 38.39 | 389 |
| 2 3 1 | 48.91 | 331 |
| 0 1 4 | 54.90 | 281 |
| 3 2 3 | 57.18 | 269 |
| 6 0 0 | 57.91 | 400 |

Atomic structure:
```
data_Y6CoNi
_symmetry_space_group_name_H-M 'P m c 21'
_symmetry_Int_Tables_number 26
_symmetry_space_group_name_Hall 'P 2c -2'
_cell_length_a 9.5523
_cell_length_b 6.3418
_cell_length_c 6.9343
_cell_angle_alpha 90.00
_cell_angle_beta 90.00
_cell_angle_gamma 90.00
loop_
_atom_site_label
_atom_site_type_symbol
_atom_site_fract_x
_atom_site_fract_y
_atom_site_fract_z
_atom_site_occupancy
Y1 Y 0.0000 0.1096 0.0000 1
Y2 Y 0.1800 0.4302 0.6337 1
Y3 Y 0.3147 0.0734 0.2808 1
Y4 Y 0.5000 0.3899 0.9218 1
Co1 Co 0.0000 0.2939 0.3467 1
Ni1 Ni 0.5000 0.1957 0.5676 1
```